The following is a theoretical powder XRD pattern of GaSnBr. It was derived from a cell relaxed with GGA-PBE, using λ = 1.5418 Å (Cu Kα).
Kinematic intensities with the Lorentz-polarization factor, no thermal factor.

The 8 most intense peaks (5° ≤ 2θ ≤ 70°), low angle first:
two_theta  d [Å]  I (rel.)
14.94  5.929  22
27.30  3.266  16
27.99  3.187  100
30.15  2.964  19
40.35  2.236  23
45.30  2.002  20
46.37  1.958  25
46.59  1.949  16

Structural model:
Cell lengths 6.961, 6.961, 6.961 Å; angles 140.64, 119.44, 74.65 degrees
Sites, in units of the cell vectors:
Ga1 0.250 0.382 0.132
Ga2 0.750 0.118 0.368
Sn1 0.177 0.427 0.750
Sn2 0.323 0.073 0.250
Br1 0.601 0.851 0.750
Br2 0.899 0.649 0.250

---

The following is a theoretical powder XRD pattern of Ga2Sn2Br7. It was derived from a cell relaxed with GGA-PBE, using λ = 1.5418 Å (Cu Kα).
Kinematic intensities with the Lorentz-polarization factor, no thermal factor.

The 8 most intense peaks (5° ≤ 2θ ≤ 70°), low angle first:
two_theta  d [Å]  I (rel.)
17.96  4.940  54
18.38  4.827  51
22.38  3.972  46
28.44  3.139  100
28.70  3.110  72
33.71  2.659  42
37.69  2.387  50
45.79  1.982  58

Structural model:
Cell lengths 6.902, 6.902, 9.374 Å; angles 94.99, 94.99, 115.67 degrees
Sites, in units of the cell vectors:
Ga1 0.174 0.174 0.075
Ga2 0.826 0.826 0.925
Sn1 0.175 0.825 0.500
Sn2 0.825 0.175 0.500
Br1 0.036 0.378 0.251
Br2 0.229 0.229 0.628
Br3 0.378 0.036 0.251
Br4 0.500 0.500 0.000
Br5 0.622 0.964 0.749
Br6 0.771 0.771 0.372
Br7 0.964 0.622 0.749

---

The following is a theoretical powder XRD pattern of SrGa6Br12. It was derived from a cell relaxed with GGA-PBE, using λ = 1.5418 Å (Cu Kα).
Kinematic intensities with the Lorentz-polarization factor, no thermal factor.

The 8 most intense peaks (5° ≤ 2θ ≤ 70°), low angle first:
two_theta  d [Å]  I (rel.)
11.95  7.406  59
21.20  4.191  32
24.03  3.703  36
27.28  3.269  100
30.70  2.913  35
41.89  2.156  60
45.96  1.975  40
52.51  1.743  30

Structural model:
Cell lengths 9.552, 9.552, 9.552 Å; angles 66.32, 66.32, 66.32 degrees
Sites, in units of the cell vectors:
Sr1 0.000 0.000 0.000
Ga1 0.107 0.309 0.442
Ga2 0.309 0.442 0.107
Ga3 0.442 0.107 0.309
Ga4 0.558 0.893 0.691
Ga5 0.691 0.558 0.893
Ga6 0.893 0.691 0.558
Br1 0.031 0.891 0.341
Br2 0.109 0.659 0.969
Br3 0.150 0.457 0.587
Br4 0.341 0.031 0.891
Br5 0.413 0.850 0.543
Br6 0.457 0.587 0.150
Br7 0.543 0.413 0.850
Br8 0.587 0.150 0.457
Br9 0.659 0.969 0.109
Br10 0.850 0.543 0.413
Br11 0.891 0.341 0.031
Br12 0.969 0.109 0.659